TbDy5ErIn2: computed powder diffractogram (a wavelength of 1.5418 Å), based on the GGA-PBE geometry in Alexandria.
Intensities are scaled so that the largest is 1000.

Structure:
Cell lengths 11.104, 11.104, 11.104 Å; angles 139.89, 139.89, 58.02 degrees
Fractional positions:
Tb 0.250 0.250 0.000
Tb 0.750 0.750 0.000
Dy 0.000 0.000 0.000
Dy 0.077 0.577 0.902
Dy 0.175 0.077 0.500
Dy 0.325 0.825 0.902
Dy 0.423 0.325 0.500
Dy 0.500 0.500 0.000
Dy 0.577 0.675 0.500
Dy 0.675 0.175 0.098
Dy 0.825 0.923 0.500
Dy 0.923 0.423 0.098
Er 0.250 0.750 0.500
Er 0.750 0.250 0.500
In 0.124 0.376 0.500
In 0.376 0.876 0.252
In 0.624 0.124 0.748
In 0.876 0.624 0.500

Most intense lines, 10° ≤ 2θ ≤ 90°, by angle:
d/Å, 2θ/deg, Rel. int.
3.014, 29.64, 337
2.996, 29.82, 1000
2.693, 33.27, 305
2.561, 35.04, 229
2.428, 37.03, 255
1.803, 50.63, 188
1.607, 57.33, 133
1.490, 62.34, 124